# 1
Calculated PXRD pattern
Compound: Er2Tl3Hg3
Radiation: Cu Kα
Structure: a DFT-relaxed cell (PBE, Alexandria)

Structural model:
Cell: 4.238 4.946 9.784 Å, 90.00 90.00 90.00°
Space group Pmmm (No. 47)
Unique sites:
Er 0.000 0.000 0.246 (multiplicity 2)
Tl 0.000 0.500 0.000 (multiplicity 1)
Tl 0.000 0.500 0.500 (multiplicity 1)
Tl 0.500 0.000 0.500 (multiplicity 1)
Hg 0.500 0.000 0.000 (multiplicity 1)
Hg 0.500 0.500 0.248 (multiplicity 2)

Peak list (8 most intense, 2θ = 15–90°, in order of rising 2θ)
2theta	I/Imax
33.33	100
36.33	20
36.74	19
42.67	13
52.63	14
63.46	16
64.01	16
69.99	12



# 2
Calculated PXRD pattern
Compound: Th2HgPt3
Radiation: Cu Kα
Structure: a DFT-relaxed cell (PBE, Alexandria)

Structural model:
Cell: 13.619 13.619 13.619 Å, 90.00 90.00 90.00°
Space group Fd-3m (No. 227, origin choice 2)
Unique sites:
Th 0.007 0.007 0.243 (multiplicity 32)
Hg 0.000 0.000 0.500 (multiplicity 16)
Pt 0.125 0.125 0.375 (multiplicity 48)

Peak list (8 most intense, 2θ = 15–90°, in order of rising 2θ)
2theta	I/Imax
18.43	14
21.64	6
22.62	9
32.20	8
37.35	100
53.85	17
67.37	35
79.65	11



# 3
Calculated PXRD pattern
Compound: YPaPS
Radiation: Cu Kα
Structure: a DFT-relaxed cell (PBE, Alexandria)

Structural model:
Cell: 3.8399 3.8399 20.9540 Å, 90.00 90.00 120.00°
Space group R3m (No. 160, hexagonal axes)
Unique sites:
Y 0.0000 0.0000 0.0000 (multiplicity 3)
Pa 0.0000 0.0000 0.1783 (multiplicity 3)
P 0.0000 0.0000 0.5892 (multiplicity 3)
S 0.0000 0.0000 0.7571 (multiplicity 3)

Peak list (8 most intense, 2θ = 15–90°, in order of rising 2θ)
2theta	I/Imax
25.51	34
27.15	73
28.15	61
31.88	38
34.43	100
40.55	45
47.35	47
54.54	27



# 4
Calculated PXRD pattern
Compound: Pm2PaAsN5
Radiation: Cu Kα
Structure: a DFT-relaxed cell (PBE, Alexandria)

Structural model:
Cell: 3.542 14.940 10.049 Å, 90.00 90.00 90.00°
Space group Cmc2_1 (No. 36)
Unique sites:
Pm 0.000 0.109 0.000 (multiplicity 4)
Pm 0.000 0.120 0.639 (multiplicity 4)
Pa 0.000 0.208 0.339 (multiplicity 4)
As 0.000 0.455 0.767 (multiplicity 4)
N 0.000 0.041 0.351 (multiplicity 4)
N 0.000 0.291 0.981 (multiplicity 4)
N 0.000 0.330 0.694 (multiplicity 4)
N 0.000 0.352 0.323 (multiplicity 4)
N 0.000 0.496 0.100 (multiplicity 4)

Peak list (8 most intense, 2θ = 15–90°, in order of rising 2θ)
2theta	I/Imax
21.31	37
29.22	80
29.81	43
30.98	53
32.27	71
37.20	54
37.44	100
43.53	56



# 5
Calculated PXRD pattern
Compound: ScPbF
Radiation: Cu Kα
Structure: a DFT-relaxed cell (PBE, Alexandria)

Structural model:
Cell: 4.865 5.703 5.864 Å, 66.38 68.16 85.90°
Space group P-1 (No. 2)
Unique sites:
Sc 0.000 0.000 0.000 (multiplicity 1)
Sc 0.500 0.500 0.500 (multiplicity 1)
Pb 0.160 0.378 0.200 (multiplicity 2)
F 0.413 0.112 0.709 (multiplicity 2)

Peak list (8 most intense, 2θ = 15–90°, in order of rising 2θ)
2theta	I/Imax
17.04	68
19.05	46
27.37	39
30.52	50
31.15	36
31.42	52
31.75	100
37.18	29



# 6
Calculated PXRD pattern
Compound: La5Y6Th2
Radiation: Cu Kα
Structure: a DFT-relaxed cell (PBE, Alexandria)

Structural model:
Cell: 11.703 21.272 3.634 Å, 90.00 90.00 90.00°
Space group Pbam (No. 55)
Unique sites:
La 0.000 0.000 0.000 (multiplicity 2)
La 0.060 0.295 0.000 (multiplicity 4)
La 0.191 0.580 0.000 (multiplicity 4)
Y 0.062 0.149 0.500 (multiplicity 4)
Y 0.083 0.438 0.500 (multiplicity 4)
Y 0.187 0.876 0.000 (multiplicity 4)
Th 0.192 0.736 0.500 (multiplicity 4)

Peak list (8 most intense, 2θ = 15–90°, in order of rising 2θ)
2theta	I/Imax
28.64	24
29.46	26
30.14	25
30.39	42
30.82	100
31.61	69
33.57	57
60.10	20



# 7
Calculated PXRD pattern
Compound: PmSm4Er7
Radiation: Cu Kα
Structure: a DFT-relaxed cell (PBE, Alexandria)

Structural model:
Cell: 6.548 6.818 9.018 Å, 84.58 76.99 81.21°
Space group P-1 (No. 2)
Unique sites:
Pm 0.000 0.000 0.000 (multiplicity 1)
Sm 0.166 0.614 0.310 (multiplicity 2)
Sm 0.362 0.194 0.712 (multiplicity 2)
Er 0.000 0.500 0.000 (multiplicity 1)
Er 0.187 0.105 0.385 (multiplicity 2)
Er 0.319 0.702 0.643 (multiplicity 2)
Er 0.485 0.250 0.049 (multiplicity 2)

Peak list (8 most intense, 2θ = 15–90°, in order of rising 2θ)
2theta	I/Imax
30.58	33
31.14	36
31.76	100
32.11	78
32.63	12
43.67	12
46.39	12
56.95	16



# 8
Calculated PXRD pattern
Compound: VNi5Pd8
Radiation: Cu Kα
Structure: a DFT-relaxed cell (PBE, Alexandria)

Structural model:
Cell: 7.275 7.275 7.630 Å, 90.00 90.00 90.00°
Space group I-4 (No. 82)
Unique sites:
V 0.000 0.000 0.000 (multiplicity 2)
Ni 0.000 0.500 0.250 (multiplicity 2)
Ni 0.109 0.300 0.672 (multiplicity 8)
Pd 0.067 0.170 0.339 (multiplicity 8)
Pd 0.095 0.312 0.000 (multiplicity 8)

Peak list (8 most intense, 2θ = 15–90°, in order of rising 2θ)
2theta	I/Imax
29.86	41
37.46	70
38.97	65
39.16	84
42.38	26
45.25	100
46.07	54
46.56	48



# 9
Calculated PXRD pattern
Compound: Ba2NaCuCl6
Radiation: Cu Kα
Structure: a DFT-relaxed cell (PBE, Alexandria)

Structural model:
Cell: 6.212 7.753 8.001 Å, 112.33 97.90 112.55°
Space group P-1 (No. 2)
Unique sites:
Ba 0.245 0.088 0.305 (multiplicity 2)
Na 0.500 0.500 0.000 (multiplicity 1)
Cu 0.000 0.500 0.500 (multiplicity 1)
Cl 0.081 0.297 0.080 (multiplicity 2)
Cl 0.307 0.504 0.658 (multiplicity 2)
Cl 0.319 0.041 0.681 (multiplicity 2)

Peak list (8 most intense, 2θ = 15–90°, in order of rising 2θ)
2theta	I/Imax
20.99	51
22.53	89
23.30	100
26.30	40
28.29	44
31.18	80
39.47	41
39.64	53



# 10
Calculated PXRD pattern
Compound: Ce7Ir2Pb3
Radiation: Cu Kα
Structure: a DFT-relaxed cell (PBE, Alexandria)

Structural model:
Cell: 5.379 25.934 5.271 Å, 90.00 90.00 90.00°
Space group Cmmm (No. 65)
Unique sites:
Ce 0.000 0.000 0.000 (multiplicity 2)
Ce 0.000 0.092 0.500 (multiplicity 4)
Ce 0.000 0.221 0.000 (multiplicity 4)
Ce 0.000 0.387 0.000 (multiplicity 4)
Ir 0.000 0.110 0.000 (multiplicity 4)
Pb 0.000 0.309 0.500 (multiplicity 4)
Pb 0.000 0.500 0.500 (multiplicity 2)

Peak list (8 most intense, 2θ = 15–90°, in order of rising 2θ)
2theta	I/Imax
23.86	42
29.31	100
32.42	23
33.32	52
34.01	50
34.59	28
48.35	37
60.79	26



# 11
Calculated PXRD pattern
Compound: Ti4InMo
Radiation: Cu Kα
Structure: a DFT-relaxed cell (PBE, Alexandria)

Structural model:
Cell: 7.835 4.487 7.551 Å, 90.00 110.10 90.00°
Space group C2/m (No. 12)
Unique sites:
Ti 0.115 0.000 0.340 (multiplicity 4)
Ti 0.134 0.500 0.904 (multiplicity 4)
In 0.000 0.500 0.500 (multiplicity 2)
Mo 0.000 0.000 0.000 (multiplicity 2)

Peak list (8 most intense, 2θ = 15–90°, in order of rising 2θ)
2theta	I/Imax
24.19	50
24.35	100
25.12	42
39.94	91
40.20	45
40.97	37
41.13	72
47.77	29



# 12
Calculated PXRD pattern
Compound: CaAl9Cu2
Radiation: Cu Kα
Structure: a DFT-relaxed cell (PBE, Alexandria)

Structural model:
Cell: 10.711 10.711 7.201 Å, 90.00 90.00 90.00°
Space group I4_1/amd (No. 141, origin choice 2)
Unique sites:
Ca 0.000 0.250 0.375 (multiplicity 4)
Al 0.000 0.250 0.875 (multiplicity 4)
Al 0.123 0.050 0.682 (multiplicity 32)
Cu 0.000 0.000 0.000 (multiplicity 8)

Peak list (8 most intense, 2θ = 15–90°, in order of rising 2θ)
2theta	I/Imax
22.29	44
32.61	68
36.42	77
37.55	49
38.43	50
42.09	53
44.10	100
45.48	88



# 13
Calculated PXRD pattern
Compound: KRbHSeBrCl
Radiation: Cu Kα
Structure: a DFT-relaxed cell (PBE, Alexandria)

Structural model:
Cell: 4.642 5.221 9.004 Å, 103.76 90.29 106.23°
Space group P1 (No. 1)
Unique sites:
K 0.000 0.000 0.000 (multiplicity 1)
Rb 0.104 0.269 0.577 (multiplicity 1)
H 0.819 0.749 0.271 (multiplicity 1)
Se 0.057 0.606 0.268 (multiplicity 1)
Br 0.539 0.122 0.274 (multiplicity 1)
Cl 0.489 0.962 0.762 (multiplicity 1)

Peak list (8 most intense, 2θ = 15–90°, in order of rising 2θ)
2theta	I/Imax
23.09	36
26.32	60
28.68	100
30.76	42
32.85	39
33.65	48
34.59	48
35.84	48